No. 1
Diffraction record for Na5B9C. The powder X-ray diffraction pattern is theoretical, not measured: it uses a PBE-relaxed structure and copper Kα.
Peak positions follow from Bragg's law for the DFT cell and can differ from measured ones.

Largest 10 diffraction maxima, in order of rising 2θ, 15 to 90 degrees two-theta:
two_theta, I (rel.), h k l
34.7, 20, 1 0 0
40.7, 100, 1 0 10
41.9, 23, 0 0 20
55.5, 11, 0 1 20
62.2, 18, 1 1 0
66.2, 2, 1 1 10
73.2, 2, 2 0 0
75.7, 12, 1 0 30
77.0, 12, 2 0 10
77.8, 17, 1 1 20

Atomic structure:
abc: 2.9861 2.9861 43.1047
angles: 90.00 90.00 120.00
Space group P-3m1 (No. 164)
Symmetry-distinct sites (fractional):
Na 0.0000 0.0000 0.0000 x1
Na 0.0000 0.0000 0.1003 x2
Na 0.0000 0.0000 0.2010 x2
Na 0.0000 0.0000 0.3013 x2
Na 0.0000 0.0000 0.3993 x2
Na 0.0000 0.0000 0.5000 x1
B 0.3333 0.6667 0.0502 x2
B 0.3333 0.6667 0.1506 x2
B 0.3333 0.6667 0.2511 x2
B 0.3333 0.6667 0.4495 x2
B 0.3333 0.6667 0.5505 x2
B 0.3333 0.6667 0.6497 x2
B 0.3333 0.6667 0.7489 x2
B 0.3333 0.6667 0.8494 x2
B 0.3333 0.6667 0.9498 x2
C 0.3333 0.6667 0.3503 x2



No. 2
Diffraction record for Na10B13C7. The powder X-ray diffraction pattern is theoretical, not measured: it uses a PBE-relaxed structure and copper Kα.
Peak positions follow from Bragg's law for the DFT cell and can differ from measured ones.

Largest 10 diffraction maxima, in order of rising 2θ, 15 to 90 degrees two-theta:
two_theta, I (rel.), h k l
35.9, 20, 1 0 2
41.8, 100, 1 2 2
42.2, 53, 2 2 -1
42.4, 39, 0 4 0
56.7, 11, 1 4 2
64.2, 9, 0 0 5
64.9, 17, 3 0 1
77.2, 12, 1 6 2
79.8, 12, 2 2 4
80.7, 22, 3 4 1

Atomic structure:
abc: 4.960 8.528 7.664
angles: 90.00 108.86 90.00
Space group Pm (No. 6)
Symmetry-distinct sites (fractional):
Na 0.000 0.246 0.000 x2
Na 0.199 0.249 0.399 x2
Na 0.399 0.247 0.800 x2
Na 0.599 0.247 0.200 x2
Na 0.800 0.250 0.601 x2
B 0.086 0.500 0.786 x1
B 0.134 0.000 0.600 x1
B 0.270 0.500 0.211 x1
B 0.316 0.000 0.000 x1
B 0.318 0.500 0.998 x1
B 0.459 0.500 0.590 x1
B 0.534 0.000 0.400 x1
B 0.667 0.000 0.000 x1
B 0.701 0.500 0.015 x1
B 0.720 0.500 0.802 x1
B 0.730 0.000 0.788 x1
B 0.863 0.500 0.400 x1
B 0.941 0.000 0.211 x1
C 0.065 0.000 0.797 x1
C 0.123 0.500 0.591 x1
C 0.268 0.000 0.202 x1
C 0.468 0.000 0.594 x1
C 0.527 0.500 0.400 x1
C 0.874 0.000 0.406 x1
C 0.932 0.500 0.210 x1



No. 3
Diffraction record for Na10B13C7. The powder X-ray diffraction pattern is theoretical, not measured: it uses a PBE-relaxed structure and copper Kα.
Peak positions follow from Bragg's law for the DFT cell and can differ from measured ones.

Largest 10 diffraction maxima, in order of rising 2θ, 15 to 90 degrees two-theta:
two_theta, I (rel.), h k l
35.5, 7, 2 0 4
36.4, 13, 1 1 2
41.5, 37, 6 0 2
42.3, 100, 8 0 -4
57.0, 7, 9 1 -2
64.3, 13, 3 1 6
77.4, 9, 13 1 -4
80.0, 12, 11 1 2
81.1, 8, 6 2 2
81.7, 6, 8 2 -4

Atomic structure:
abc: 17.804 2.828 13.247
angles: 90.00 113.62 90.00
Space group Cm (No. 8)
Symmetry-distinct sites (fractional):
Na 0.000 0.000 0.000 x2
Na 0.002 0.000 0.497 x2
Na 0.099 0.500 0.201 x2
Na 0.102 0.500 0.698 x2
Na 0.199 0.000 0.400 x2
Na 0.202 0.000 0.899 x2
Na 0.300 0.500 0.598 x2
Na 0.303 0.500 0.099 x2
Na 0.400 0.000 0.798 x2
Na 0.402 0.000 0.298 x2
B 0.031 0.000 0.809 x2
B 0.035 0.000 0.317 x2
B 0.072 0.500 0.891 x2
B 0.136 0.500 0.021 x2
B 0.136 0.500 0.517 x2
B 0.177 0.000 0.102 x2
B 0.236 0.000 0.717 x2
B 0.268 0.500 0.284 x2
B 0.335 0.500 0.917 x2
B 0.360 0.000 0.466 x2
B 0.428 0.000 0.602 x2
B 0.434 0.000 0.117 x2
B 0.466 0.500 0.677 x2
C 0.068 0.500 0.383 x2
C 0.169 0.000 0.583 x2
C 0.238 0.000 0.224 x2
C 0.269 0.500 0.783 x2
C 0.331 0.500 0.409 x2
C 0.368 0.000 0.984 x2
C 0.467 0.500 0.184 x2



No. 4
Diffraction record for Na10B17C3. The powder X-ray diffraction pattern is theoretical, not measured: it uses a PBE-relaxed structure and copper Kα.
Peak positions follow from Bragg's law for the DFT cell and can differ from measured ones.

Largest 10 diffraction maxima, in order of rising 2θ, 15 to 90 degrees two-theta:
two_theta, I (rel.), h k l
33.8, 10, 2 0 -1
35.8, 13, 1 0 2
39.8, 36, 2 2 -1
41.6, 100, 0 4 0
56.0, 7, 1 4 2
61.7, 13, 3 0 1
74.8, 10, 4 2 -2
75.9, 9, 1 6 -3
77.2, 13, 3 4 1
79.5, 7, 2 2 4

Atomic structure:
abc: 5.310 8.675 7.601
angles: 90.00 110.43 90.00
Space group Pm (No. 6)
Symmetry-distinct sites (fractional):
Na 0.000 0.245 0.000 x2
Na 0.202 0.253 0.400 x2
Na 0.401 0.250 0.800 x2
Na 0.601 0.247 0.200 x2
Na 0.800 0.254 0.601 x2
B 0.049 0.000 0.789 x1
B 0.064 0.500 0.812 x1
B 0.141 0.500 0.605 x1
B 0.166 0.000 0.591 x1
B 0.230 0.500 0.198 x1
B 0.334 0.000 0.008 x1
B 0.356 0.500 0.011 x1
B 0.454 0.500 0.591 x1
B 0.521 0.000 0.401 x1
B 0.543 0.500 0.388 x1
B 0.659 0.000 0.009 x1
B 0.682 0.500 0.012 x1
B 0.724 0.000 0.790 x1
B 0.737 0.500 0.796 x1
B 0.851 0.000 0.402 x1
B 0.869 0.500 0.389 x1
B 0.974 0.000 0.210 x1
C 0.266 0.000 0.205 x1
C 0.461 0.000 0.595 x1
C 0.937 0.500 0.200 x1



No. 5
Diffraction record for Na10B17C3. The powder X-ray diffraction pattern is theoretical, not measured: it uses a PBE-relaxed structure and copper Kα.
Peak positions follow from Bragg's law for the DFT cell and can differ from measured ones.

Largest 10 diffraction maxima, in order of rising 2θ, 15 to 90 degrees two-theta:
two_theta, I (rel.), h k l
33.7, 10, 2 0 -1
35.8, 13, 1 0 2
39.8, 36, 2 2 -1
41.6, 100, 0 4 0
61.7, 13, 3 0 1
65.7, 7, 0 0 5
74.7, 10, 4 2 -2
75.9, 11, 1 6 -3
77.2, 13, 3 4 1
79.6, 7, 2 2 4

Atomic structure:
abc: 5.313 8.684 7.590
angles: 90.00 110.48 90.00
Space group Pm (No. 6)
Symmetry-distinct sites (fractional):
Na 0.000 0.243 0.000 x2
Na 0.199 0.257 0.400 x2
Na 0.403 0.246 0.799 x2
Na 0.605 0.251 0.200 x2
Na 0.803 0.254 0.601 x2
B 0.038 0.500 0.811 x1
B 0.066 0.000 0.804 x1
B 0.121 0.000 0.588 x1
B 0.153 0.500 0.611 x1
B 0.227 0.500 0.188 x1
B 0.260 0.000 0.214 x1
B 0.350 0.000 0.010 x1
B 0.353 0.500 0.998 x1
B 0.446 0.000 0.586 x1
B 0.478 0.500 0.609 x1
B 0.543 0.500 0.390 x1
B 0.573 0.000 0.400 x1
B 0.662 0.000 0.996 x1
B 0.682 0.500 0.999 x1
B 0.738 0.000 0.788 x1
B 0.869 0.500 0.392 x1
B 0.933 0.000 0.212 x1
C 0.741 0.500 0.805 x1
C 0.866 0.000 0.400 x1
C 0.937 0.500 0.195 x1



No. 6
Diffraction record for Na5B8C2. The powder X-ray diffraction pattern is theoretical, not measured: it uses a PBE-relaxed structure and copper Kα.
Peak positions follow from Bragg's law for the DFT cell and can differ from measured ones.

Largest 10 diffraction maxima, in order of rising 2θ, 15 to 90 degrees two-theta:
two_theta, I (rel.), h k l
35.3, 19, 1 0 0
41.2, 100, 1 0 10
42.0, 24, 0 0 20
56.0, 10, 1 0 20
63.4, 18, 1 1 0
74.7, 2, 2 0 0
76.2, 12, 1 0 30
78.4, 11, 2 0 10
79.0, 17, 1 1 20
89.6, 2, 2 0 20

Atomic structure:
abc: 2.9360 2.9360 43.0207
angles: 90.00 90.00 120.00
Space group P-6m2 (No. 187)
Symmetry-distinct sites (fractional):
Na 0.0000 0.0000 0.0492 x2
Na 0.0000 0.0000 0.1502 x2
Na 0.0000 0.0000 0.2486 x2
Na 0.0000 0.0000 0.3499 x2
Na 0.0000 0.0000 0.4509 x2
B 0.3333 0.6667 0.0000 x1
B 0.3333 0.6667 0.0998 x2
B 0.3333 0.6667 0.1995 x2
B 0.3333 0.6667 0.2991 x2
B 0.3333 0.6667 0.4005 x2
B 0.6667 0.3333 0.0998 x2
B 0.6667 0.3333 0.2991 x2
B 0.6667 0.3333 0.4005 x2
B 0.6667 0.3333 0.5000 x1
C 0.3333 0.6667 0.5000 x1
C 0.6667 0.3333 0.0000 x1
C 0.6667 0.3333 0.1996 x2



No. 7
Diffraction record for Na5B8C2. The powder X-ray diffraction pattern is theoretical, not measured: it uses a PBE-relaxed structure and copper Kα.
Peak positions follow from Bragg's law for the DFT cell and can differ from measured ones.

Largest 10 diffraction maxima, in order of rising 2θ, 15 to 90 degrees two-theta:
two_theta, I (rel.), h k l
34.1, 10, 6 0 2
36.0, 12, 3 1 1
40.1, 18, 2 0 4
40.2, 18, 10 0 0
41.8, 100, 8 0 -4
56.3, 7, 11 1 -3
62.3, 13, 9 1 3
76.3, 6, 15 1 -5
77.7, 6, 1 1 7
80.1, 7, 10 2 0

Atomic structure:
abc: 23.395 2.831 10.141
angles: 90.00 106.29 90.00
Space group Cm (No. 8)
Symmetry-distinct sites (fractional):
Na 0.000 0.000 0.000 x2
Na 0.000 0.500 0.494 x2
Na 0.100 0.500 0.196 x2
Na 0.101 0.000 0.695 x2
Na 0.199 0.000 0.390 x2
Na 0.200 0.500 0.895 x2
Na 0.298 0.500 0.592 x2
Na 0.299 0.000 0.095 x2
Na 0.399 0.000 0.795 x2
Na 0.399 0.500 0.294 x2
B 0.022 0.000 0.288 x2
B 0.028 0.500 0.802 x2
B 0.088 0.000 0.418 x2
B 0.120 0.000 0.985 x2
B 0.176 0.500 0.595 x2
B 0.213 0.500 0.172 x2
B 0.215 0.000 0.674 x2
B 0.277 0.000 0.800 x2
B 0.307 0.000 0.361 x2
B 0.318 0.500 0.883 x2
B 0.375 0.000 0.496 x2
B 0.380 0.500 0.008 x2
B 0.420 0.000 0.087 x2
B 0.420 0.500 0.585 x2
B 0.484 0.000 0.214 x2
B 0.484 0.500 0.713 x2
C 0.088 0.500 0.921 x2
C 0.117 0.500 0.476 x2
C 0.182 0.000 0.110 x2
C 0.276 0.500 0.298 x2



No. 8
Diffraction record for Na4B7C. The powder X-ray diffraction pattern is theoretical, not measured: it uses a PBE-relaxed structure and copper Kα.
Peak positions follow from Bragg's law for the DFT cell and can differ from measured ones.

Largest 10 diffraction maxima, in order of rising 2θ, 15 to 90 degrees two-theta:
two_theta, I (rel.), h k l
34.0, 12, 0 0 2
35.2, 18, 0 2 1
40.0, 49, 2 0 2
41.1, 100, 2 2 1
41.7, 36, 4 0 0
55.7, 10, 4 2 1
61.6, 18, 0 2 3
75.8, 13, 6 2 1
77.2, 17, 4 2 3
78.3, 10, 2 4 2

Atomic structure:
abc: 8.658 5.815 5.275
angles: 90.00 90.00 90.00
Space group Pmma (No. 51)
Symmetry-distinct sites (fractional):
Na 0.000 0.000 0.000 x2
Na 0.000 0.249 0.500 x4
Na 0.000 0.500 0.000 x2
B 0.250 0.000 0.333 x2
B 0.250 0.000 0.654 x2
B 0.250 0.255 0.847 x4
B 0.250 0.263 0.177 x4
B 0.250 0.500 0.635 x2
C 0.250 0.500 0.335 x2



No. 9
Diffraction record for Na5B8C2. The powder X-ray diffraction pattern is theoretical, not measured: it uses a PBE-relaxed structure and copper Kα.
Peak positions follow from Bragg's law for the DFT cell and can differ from measured ones.

Largest 10 diffraction maxima, in order of rising 2θ, 15 to 90 degrees two-theta:
two_theta, I (rel.), h k l
34.0, 14, 2 0 4
36.1, 17, 1 1 2
40.0, 48, 6 0 2
41.6, 38, 8 0 -4
41.9, 100, 5 1 0
62.2, 17, 3 1 6
66.3, 8, 0 2 0
77.6, 8, 5 1 -10
77.7, 8, 11 1 2
81.4, 8, 8 2 -4

Atomic structure:
abc: 18.130 2.819 13.672
angles: 90.00 112.54 90.00
Space group C2/m (No. 12)
Symmetry-distinct sites (fractional):
Na 0.000 0.000 0.000 x2
Na 0.000 0.000 0.500 x2
Na 0.099 0.500 0.199 x4
Na 0.100 0.500 0.699 x4
Na 0.200 0.000 0.400 x4
Na 0.200 0.000 0.899 x4
B 0.033 0.000 0.815 x4
B 0.058 0.500 0.367 x4
B 0.122 0.500 0.995 x4
B 0.125 0.500 0.501 x4
B 0.164 0.000 0.078 x4
B 0.165 0.000 0.582 x4
B 0.227 0.000 0.204 x4
B 0.230 0.000 0.710 x4
C 0.028 0.000 0.307 x4
C 0.063 0.500 0.878 x4